No. 1
# PmSbIO4
Simulated powder X-ray diffraction pattern, Cu Kα X-rays. Input: a DFT-relaxed cell (PBE, Alexandria).
No peak broadening, texture or thermal motion is included.

Main lines, sorted by position (2θ = 10–90°):
2θ/deg, d_spacing, I/Imax, (hkl)
25.4, 3.502, 38.4, 0 0 2
25.6, 3.483, 100.0, 3 1 0
26.1, 3.413, 41.8, 3 1 -1
26.8, 3.322, 67.3, 0 2 0
28.2, 3.170, 17.1, 1 1 -2
30.9, 2.890, 24.1, 3 1 1
32.3, 2.773, 30.0, 3 1 -2
37.3, 2.410, 28.8, 0 2 2
39.9, 2.260, 19.8, 1 1 -3
51.4, 1.778, 23.8, 6 2 -1

Crystal structure
```
data_PmSbIO4
_cell_length_a 12.651
_cell_length_b 6.643
_cell_length_c 7.220
_cell_angle_alpha 90.00
_cell_angle_beta 104.04
_cell_angle_gamma 90.00
_space_group_name_H-M_alt 'C 1 2/m 1'
_space_group_IT_number 12
_space_group_name_Hall '-C 2y'
loop_
_atom_site_label
_atom_site_type_symbol
_atom_site_fract_x
_atom_site_fract_y
_atom_site_fract_z
Pm1 Pm 0.206 0.000 0.334
Sb1 Sb 0.129 0.000 0.754
I1 I 0.023 0.500 0.191
O1 O 0.024 0.000 0.293
O2 O 0.184 0.212 0.620
O3 O 0.195 0.000 0.018
```


No. 2
# Dy8Rh5C12
Simulated powder X-ray diffraction pattern, Cu Kα X-rays. Input: a DFT-relaxed cell (PBE, Alexandria).
No peak broadening, texture or thermal motion is included.

Main lines, sorted by position (2θ = 10–90°):
2θ/deg, d_spacing, I/Imax, (hkl)
26.6, 3.350, 49.0, 4 0 -2
29.5, 3.028, 29.8, 5 1 0
32.1, 2.789, 29.6, 10 0 0
32.4, 2.762, 33.3, 5 1 1
33.5, 2.673, 100.0, 7 1 0
35.2, 2.550, 69.2, 1 1 2
35.7, 2.512, 78.6, 3 1 -2
36.3, 2.475, 37.4, 7 1 1
36.7, 2.447, 47.2, 8 0 2
50.6, 1.803, 38.1, 0 2 0

Crystal structure
```
data_Dy8Rh5C12
_cell_length_a 27.966
_cell_length_b 3.605
_cell_length_c 7.364
_cell_angle_alpha 90.00
_cell_angle_beta 94.07
_cell_angle_gamma 90.00
_space_group_name_H-M_alt 'C 1 2/m 1'
_space_group_IT_number 12
_space_group_name_Hall '-C 2y'
loop_
_atom_site_label
_atom_site_type_symbol
_atom_site_fract_x
_atom_site_fract_y
_atom_site_fract_z
Dy1 Dy 0.047 0.000 0.290
Dy2 Dy 0.087 0.000 0.825
Dy3 Dy 0.200 0.000 0.607
Dy4 Dy 0.207 0.000 0.119
Rh1 Rh 0.000 0.500 0.000
Rh2 Rh 0.109 0.500 0.487
Rh3 Rh 0.117 0.500 0.122
C1 C 0.023 0.500 0.753
C2 C 0.048 0.500 0.612
C3 C 0.159 0.500 0.885
C4 C 0.168 0.500 0.344
C5 C 0.207 0.500 0.868
C6 C 0.217 0.500 0.365
```


No. 3
# LiAgPbBr4
Simulated powder X-ray diffraction pattern, Cu Kα X-rays. Input: a DFT-relaxed cell (PBE, Alexandria).
No peak broadening, texture or thermal motion is included.

Main lines, sorted by position (2θ = 10–90°):
2θ/deg, d_spacing, I/Imax, (hkl)
12.9, 6.853, 38.0, 1 0 1
14.7, 6.010, 23.9, 0 0 2
21.3, 4.170, 39.4, 2 0 0
24.4, 3.651, 90.1, 1 2 1
24.6, 3.612, 54.2, 1 0 3
29.8, 3.001, 95.1, 0 0 4
33.4, 2.683, 32.5, 2 2 2
41.9, 2.157, 26.1, 0 4 0
42.6, 2.123, 100.0, 2 2 4
43.4, 2.085, 26.7, 4 0 0

Crystal structure
```
data_LiAgPbBr4
_cell_length_a 8.341
_cell_length_b 8.629
_cell_length_c 12.021
_cell_angle_alpha 90.00
_cell_angle_beta 90.00
_cell_angle_gamma 90.00
_space_group_name_H-M_alt 'I m m a'
_space_group_IT_number 74
_space_group_name_Hall '-I 2b 2'
loop_
_atom_site_label
_atom_site_type_symbol
_atom_site_fract_x
_atom_site_fract_y
_atom_site_fract_z
Li1 Li 0.250 0.250 0.250
Ag1 Ag 0.000 0.250 0.648
Pb1 Pb 0.000 0.000 0.000
Br1 Br 0.000 0.029 0.252
Br2 Br 0.243 0.250 0.486
```